Record 1
Mg14NbZnO16: theoretical powder diffraction line list (Cu Kα (weighted mean of Kα1 and Kα2)), based on a structure optimized by DFT (GGA-PBE).
Intensities are scaled so that the largest is 100.

```
data_Mg14NbZnO16
_chemical_formula_sum 'Mg14 Nb1 Zn1 O16'
_space_group_name_H-M_alt 'P 1'
_space_group_IT_number 1
_cell_length_a 8.6275
_cell_length_b 8.6275
_cell_length_c 4.2889
_cell_angle_alpha 90.00
_cell_angle_beta 90.00
_cell_angle_gamma 90.00
loop_
_space_group_symop_operation_xyz
'x,y,z'
loop_
_atom_site_label
_atom_site_type_symbol
_atom_site_fract_x
_atom_site_fract_y
_atom_site_fract_z
_atom_site_occupancy
Mg1 Mg 0.0000 0.2495 0.0000 1
Mg2 Mg 0.0000 0.5000 0.5000 1
Mg3 Mg 0.0000 0.7505 0.0000 1
Mg4 Mg 0.2454 0.5000 0.0000 1
Mg5 Mg 0.2479 0.2479 0.5000 1
Mg6 Mg 0.2479 0.7521 0.5000 1
Mg7 Mg 0.2495 0.0000 0.0000 1
Mg8 Mg 0.5000 0.0000 0.5000 1
Mg9 Mg 0.5000 0.2454 0.0000 1
Mg10 Mg 0.5000 0.7546 0.0000 1
Mg11 Mg 0.7505 0.0000 0.0000 1
Mg12 Mg 0.7521 0.2479 0.5000 1
Mg13 Mg 0.7521 0.7521 0.5000 1
Mg14 Mg 0.7546 0.5000 0.0000 1
Nb1 Nb 0.5000 0.5000 0.5000 1
Zn1 Zn 0.0000 0.0000 0.5000 1
O1 O 0.0000 0.0000 0.0000 1
O2 O 0.0000 0.2530 0.5000 1
O3 O 0.0000 0.5000 0.0000 1
O4 O 0.0000 0.7470 0.5000 1
O5 O 0.2389 0.5000 0.5000 1
O6 O 0.2506 0.2506 0.0000 1
O7 O 0.2506 0.7494 0.0000 1
O8 O 0.2530 0.0000 0.5000 1
O9 O 0.5000 0.0000 0.0000 1
O10 O 0.5000 0.2389 0.5000 1
O11 O 0.5000 0.5000 0.0000 1
O12 O 0.5000 0.7611 0.5000 1
O13 O 0.7470 0.0000 0.5000 1
O14 O 0.7494 0.2506 0.0000 1
O15 O 0.7494 0.7494 0.0000 1
O16 O 0.7611 0.5000 0.5000 1
```

Peak list (10 most intense, 2θ from 10° to 90°, by angle)
Position (°2θ)	I/Imax	index
14.52	26	1 1 0
20.59	14	2 0 0
25.39	16	1 1 1
29.34	18	2 2 0
36.14	35	2 2 1
41.88	100	4 0 0
42.14	49	0 0 2
60.73	29	4 4 0
60.92	57	4 0 2
76.67	26	4 4 2



Record 2
MoW2Se2S4: theoretical powder diffraction line list (Cu Kα (weighted mean of Kα1 and Kα2)), based on a structure optimized by DFT (GGA-PBE).
Intensities are scaled so that the largest is 100.

```
data_MoW2Se2S4
_chemical_formula_sum 'Mo1 W2 Se2 S4'
_space_group_name_H-M_alt 'P 1'
_space_group_IT_number 1
_cell_length_a 3.2329
_cell_length_b 3.2329
_cell_length_c 29.6830
_cell_angle_alpha 90.00
_cell_angle_beta 90.00
_cell_angle_gamma 120.00
loop_
_space_group_symop_operation_xyz
'x,y,z'
loop_
_atom_site_label
_atom_site_type_symbol
_atom_site_fract_x
_atom_site_fract_y
_atom_site_fract_z
_atom_site_occupancy
Mo1 Mo 0.0000 0.0000 0.0000 1
W1 W 0.0000 0.0000 0.4627 1
W2 W 0.3333 0.6667 0.2314 1
Se1 Se 0.0000 0.0000 0.1735 1
Se2 Se 0.0000 0.0000 0.2891 1
S1 S 0.3333 0.6667 0.0523 1
S2 S 0.3333 0.6667 0.4102 1
S3 S 0.3333 0.6667 0.5152 1
S4 S 0.3333 0.6667 0.9477 1
```

Peak list (10 most intense, 2θ from 10° to 90°, by angle)
Position (°2θ)	I/Imax	index
11.93	100	0 0 4
14.92	23	0 0 5
31.97	19	1 0 0
32.11	11	1 0 1
34.23	13	0 1 4
36.89	36	1 0 6
38.53	39	0 1 7
44.48	18	1 0 10
46.75	29	0 1 11
57.00	24	1 1 0



Record 3
KCaMg6: theoretical powder diffraction line list (Cu Kα (weighted mean of Kα1 and Kα2)), based on a structure optimized by DFT (GGA-PBE).
Intensities are scaled so that the largest is 100.

```
data_KCaMg6
_chemical_formula_sum 'K2 Ca2 Mg12'
_space_group_name_H-M_alt 'P 1'
_space_group_IT_number 1
_cell_length_a 5.5007
_cell_length_b 6.8863
_cell_length_c 12.0666
_cell_angle_alpha 90.00
_cell_angle_beta 90.00
_cell_angle_gamma 90.00
loop_
_space_group_symop_operation_xyz
'x,y,z'
loop_
_atom_site_label
_atom_site_type_symbol
_atom_site_fract_x
_atom_site_fract_y
_atom_site_fract_z
_atom_site_occupancy
K1 K 0.0000 0.0000 0.0000 1
K2 K 0.0000 0.5000 0.5000 1
Ca1 Ca 0.5000 0.0000 0.1782 1
Ca2 Ca 0.5000 0.5000 0.6782 1
Mg1 Mg 0.0000 0.0000 0.5048 1
Mg2 Mg 0.0000 0.2478 0.7558 1
Mg3 Mg 0.0000 0.2522 0.2558 1
Mg4 Mg 0.0000 0.5000 0.0048 1
Mg5 Mg 0.0000 0.7478 0.2558 1
Mg6 Mg 0.0000 0.7522 0.7558 1
Mg7 Mg 0.5000 0.0000 0.6718 1
Mg8 Mg 0.5000 0.2425 0.4189 1
Mg9 Mg 0.5000 0.2575 0.9189 1
Mg10 Mg 0.5000 0.5000 0.1718 1
Mg11 Mg 0.5000 0.7425 0.9189 1
Mg12 Mg 0.5000 0.7575 0.4189 1
```

Peak list (10 most intense, 2θ from 10° to 90°, by angle)
Position (°2θ)	I/Imax	index
29.61	13	0 0 4
29.88	22	0 2 2
32.56	38	2 0 0
33.89	48	1 0 4
34.13	100	1 2 2
44.77	14	2 2 2
52.71	17	0 2 6
59.10	18	3 2 2
63.34	19	2 2 6
64.59	13	1 4 4



Record 4
CaV2N2: theoretical powder diffraction line list (Cu Kα (weighted mean of Kα1 and Kα2)), based on a structure optimized by DFT (GGA-PBE).
Intensities are scaled so that the largest is 100.

```
data_CaV2N2
_chemical_formula_sum 'Ca1 V2 N2'
_space_group_name_H-M_alt 'P 1'
_space_group_IT_number 1
_cell_length_a 3.2157
_cell_length_b 3.2157
_cell_length_c 7.6369
_cell_angle_alpha 90.00
_cell_angle_beta 90.00
_cell_angle_gamma 90.00
loop_
_space_group_symop_operation_xyz
'x,y,z'
loop_
_atom_site_label
_atom_site_type_symbol
_atom_site_fract_x
_atom_site_fract_y
_atom_site_fract_z
_atom_site_occupancy
Ca1 Ca 0.0000 0.0000 0.0000 1
V1 V 0.5000 0.5000 0.3375 1
V2 V 0.5000 0.5000 0.6625 1
N1 N 0.0000 0.5000 0.7818 1
N2 N 0.5000 0.0000 0.2182 1
```

Peak list (10 most intense, 2θ from 10° to 90°, by angle)
Position (°2θ)	I/Imax	index
27.74	22	1 0 0
30.15	100	1 0 1
35.26	27	0 0 3
36.53	46	1 0 2
39.64	32	1 1 0
54.08	41	1 1 3
56.02	16	1 0 4
57.30	19	2 0 0
66.12	17	2 1 1
69.10	13	2 0 3



Record 5
KCeCuTe4: theoretical powder diffraction line list (Cu Kα (weighted mean of Kα1 and Kα2)), based on a structure optimized by DFT (GGA-PBE).
Intensities are scaled so that the largest is 100.

```
data_KCeCuTe4
_chemical_formula_sum 'K2 Ce2 Cu2 Te8'
_space_group_name_H-M_alt 'P 1'
_space_group_IT_number 1
_cell_length_a 4.4570
_cell_length_b 4.4570
_cell_length_c 21.1570
_cell_angle_alpha 90.00
_cell_angle_beta 90.00
_cell_angle_gamma 90.00
loop_
_space_group_symop_operation_xyz
'x,y,z'
loop_
_atom_site_label
_atom_site_type_symbol
_atom_site_fract_x
_atom_site_fract_y
_atom_site_fract_z
_atom_site_occupancy
K1 K 0.2500 0.2500 0.1426 1
K2 K 0.7500 0.7500 0.8574 1
Ce1 Ce 0.2500 0.2500 0.5999 1
Ce2 Ce 0.7500 0.7500 0.4001 1
Cu1 Cu 0.2500 0.7500 0.0000 1
Cu2 Cu 0.7500 0.2500 0.0000 1
Te1 Te 0.2500 0.2500 0.4434 1
Te2 Te 0.2500 0.2500 0.9300 1
Te3 Te 0.2500 0.7500 0.2843 1
Te4 Te 0.2500 0.7500 0.7157 1
Te5 Te 0.7500 0.2500 0.2843 1
Te6 Te 0.7500 0.2500 0.7157 1
Te7 Te 0.7500 0.7500 0.0700 1
Te8 Te 0.7500 0.7500 0.5566 1
```

Peak list (10 most intense, 2θ from 10° to 90°, by angle)
Position (°2θ)	I/Imax	index
12.55	42	0 0 3
26.15	27	1 0 4
29.57	100	0 0 7
31.08	31	1 1 3
32.37	37	1 0 6
33.09	66	1 1 4
38.30	25	1 1 6
40.48	71	2 0 0
58.58	23	2 2 0
66.98	23	2 2 7



Record 6
MgSi2: theoretical powder diffraction line list (Cu Kα (weighted mean of Kα1 and Kα2)), based on a structure optimized by DFT (GGA-PBE).
Intensities are scaled so that the largest is 100.

```
data_MgSi2
_chemical_formula_sum 'Mg2 Si4'
_space_group_name_H-M_alt 'P 1'
_space_group_IT_number 1
_cell_length_a 4.4631
_cell_length_b 3.6434
_cell_length_c 6.5066
_cell_angle_alpha 90.00
_cell_angle_beta 100.61
_cell_angle_gamma 90.00
loop_
_space_group_symop_operation_xyz
'x,y,z'
loop_
_atom_site_label
_atom_site_type_symbol
_atom_site_fract_x
_atom_site_fract_y
_atom_site_fract_z
_atom_site_occupancy
Mg1 Mg 0.0650 0.2500 0.2004 1
Mg2 Mg 0.9350 0.7500 0.7996 1
Si1 Si 0.3397 0.7500 0.5347 1
Si2 Si 0.4459 0.2500 0.8695 1
Si3 Si 0.5541 0.7500 0.1305 1
Si4 Si 0.6603 0.2500 0.4653 1
```

Peak list (10 most intense, 2θ from 10° to 90°, by angle)
Position (°2θ)	I/Imax	index
20.24	19	1 0 0
36.48	100	1 1 1
37.42	12	0 1 2
37.74	12	1 0 2
40.21	88	1 1 -2
40.97	33	2 0 -1
42.40	26	0 0 3
50.07	26	0 2 0
66.61	17	2 2 -1
67.65	13	0 2 3